This entry pairs a crystal structure of Cd2P3 with its simulated powder XRD pattern. Radiation: CuKα. Structure: a PBE-relaxed structure.
No peak broadening, texture or thermal motion is included.

```
data_Cd2P3
_chemical_formula_sum 'Cd16 P24'
_cell_length_a 12.101
_cell_length_b 21.224
_cell_length_c 3.198
_cell_angle_alpha 90.00
_cell_angle_beta 90.00
_cell_angle_gamma 90.00
_symmetry_space_group_name_H-M 'F d d 2'
_symmetry_Int_Tables_number 43
_symmetry_space_group_name_Hall 'F 2 -2d'
loop_
_atom_site_label
_atom_site_fract_x
_atom_site_fract_y
_atom_site_fract_z
Cd1 0.062 0.320 0.000
P1 0.000 0.000 0.809
P2 0.097 0.440 0.813
```

Peak list (10 most intense, 2θ from 10° to 80°, in order of rising 2θ)
d (Å), Position (°2θ), I (rel.)
3.989, 22.3, 40
3.056, 29.2, 92
2.909, 30.7, 79
2.833, 31.6, 100
2.653, 33.8, 43
2.499, 35.9, 42
2.489, 36.1, 31
1.932, 47.0, 32
1.922, 47.3, 43
1.366, 68.7, 23